No. 1
This entry pairs a crystal structure of Na2CdCl4O3 with its computed X-ray powder pattern. Radiation: Cu Kα (λ = 1.5418 Å). Structure: a structure optimized by DFT (PBE).
Lines closer than 0.1° are merged.

The 10 most intense peaks (2θ from 10° to 90°), sorted by position:
2θ 11.19, intensity 100; 2θ 12.59, intensity 58; 2θ 14.93, intensity 46; 2θ 23.04, intensity 22; 2θ 27.57, intensity 61; 2θ 29.97, intensity 78; 2θ 32.42, intensity 25; 2θ 33.00, intensity 98; 2θ 44.54, intensity 38; 2θ 45.81, intensity 27

Atomic structure:
```
20
Lattice="7.2051 -3.8600 0.0000 7.2051 3.8600 0.0000 -5.4443 0.0000 7.9053" Properties=species:S:1:pos:R:3 pbc="T T T"
Na 3.6026 1.9300 0.0000
Na -0.4729 0.0000 3.9098
Na 3.6026 -1.9300 0.0000
Na 9.4388 0.0000 3.9955
Cd 0.0000 0.0000 0.0000
Cd 7.2051 0.0000 0.0000
Cl -3.3046 0.0000 6.2940
Cl 0.6560 1.9561 6.3246
Cl 8.3099 1.9561 1.5808
Cl 4.9644 0.0000 1.1970
Cl 4.0015 0.0000 6.7084
Cl 0.6560 -1.9561 6.3246
Cl 8.3099 -1.9561 1.5808
Cl 12.2705 0.0000 1.6113
O 3.2186 1.1001 4.1510
O 2.6063 0.0000 3.8384
O 5.7473 1.1001 3.7543
O 3.2186 -1.1001 4.1510
O 6.3595 0.0000 4.0669
O 5.7473 -1.1001 3.7543
```


No. 2
This entry pairs a crystal structure of NdC3O9 with its computed X-ray powder pattern. Radiation: Cu Kα (λ = 1.5418 Å). Structure: a structure optimized by DFT (PBE).
Lines closer than 0.1° are merged.

The 10 most intense peaks (2θ from 10° to 90°), sorted by position:
2θ 12.70, intensity 22; 2θ 13.30, intensity 100; 2θ 16.43, intensity 40; 2θ 16.64, intensity 24; 2θ 17.81, intensity 36; 2θ 19.25, intensity 28; 2θ 20.82, intensity 20; 2θ 23.68, intensity 35; 2θ 30.53, intensity 20; 2θ 30.70, intensity 24

Atomic structure:
```
52
Lattice="12.0434 0.0000 0.0000 0.0000 9.2227 0.0000 -4.0305 0.0000 10.6525" Properties=species:S:1:pos:R:3 pbc="T T T"
Nd 0.9657 0.1206 3.0188
Nd -1.0496 4.4908 8.3451
Nd 9.0625 4.7319 2.3075
Nd 7.0472 9.1021 7.6338
C -1.7045 5.3296 5.2904
C -3.7198 8.5045 10.6167
C -1.3160 0.3729 6.7226
C 0.6993 4.2385 1.3963
C 2.3929 5.5301 9.1942
C 4.4082 8.3040 3.8679
C 3.6047 0.9187 6.7846
C 5.6199 3.6926 1.4584
C 7.3136 4.9842 9.2562
C 9.3288 8.8498 3.9299
C 11.7326 0.7182 0.0359
C 9.7173 3.8931 5.3622
O -0.2243 1.3213 1.1353
O -2.2396 3.2900 6.4615
O -2.2802 0.0032 7.2886
O -0.2649 4.6081 1.9623
O -1.1735 5.7611 6.3662
O 0.8418 8.0729 1.0399
O -0.3623 0.7046 6.1310
O 1.6529 3.9067 0.8047
O -0.7666 2.1821 8.8543
O 1.2486 2.4292 3.5281
O -1.0106 5.9417 10.0223
O 1.0046 7.8924 4.6961
O 2.4552 1.9487 3.1744
O 0.4399 2.6627 8.5006
O 1.5477 5.3785 8.3852
O 3.5630 8.4556 3.0589
O 2.7606 1.0657 5.9888
O 4.7759 3.5457 0.6625
O 3.2370 5.6770 9.9900
O 5.2523 8.1570 4.6638
O 4.4498 0.7671 7.5937
O 6.4651 3.8442 2.2674
O 7.5730 6.5600 2.1519
O 5.5577 7.2740 7.4782
O 7.0082 1.3303 5.9565
O 9.0235 3.2810 0.6302
O 6.7642 6.7934 7.1245
O 8.7795 7.0406 1.7982
O 6.3599 5.3160 9.8478
O 8.3752 8.5181 4.5215
O 7.1710 1.1498 9.6126
O 9.1863 3.4616 4.2864
O 10.2931 9.2195 3.3640
O 8.2778 4.6145 8.6903
O 10.2524 5.9327 4.1910
O 8.2371 7.9014 9.5173
```


No. 3
This entry pairs a crystal structure of Tl3Pb with its computed X-ray powder pattern. Radiation: Cu Kα (λ = 1.5418 Å). Structure: a structure optimized by DFT (PBE).
Lines closer than 0.1° are merged.

The 10 most intense peaks (2θ from 10° to 90°), sorted by position:
2θ 28.42, intensity 24; 2θ 32.29, intensity 23; 2θ 32.77, intensity 100; 2θ 43.55, intensity 15; 2θ 50.32, intensity 20; 2θ 57.89, intensity 20; 2θ 61.07, intensity 23; 2θ 61.36, intensity 17; 2θ 83.24, intensity 15; 2θ 88.86, intensity 9

Atomic structure:
```
8
Lattice="7.2527 0.0000 0.0000 -3.6263 6.2810 0.0000 0.0000 0.0000 5.5446" Properties=species:S:1:pos:R:3 pbc="T T T"
Tl 0.0000 2.1157 1.3861
Tl -1.7941 5.2232 1.3861
Tl 1.8322 1.0578 4.1584
Tl 1.7941 5.2232 1.3861
Tl 5.4204 1.0578 4.1584
Tl 3.6263 4.1653 4.1584
Pb 0.0000 4.1873 4.1584
Pb 3.6263 2.0937 1.3861
```